The following is a computed X-ray diffraction stick pattern of Cu2Hg3Pd7. It was derived from the GGA-PBE geometry in Alexandria, using copper Kα.
Peak positions follow from Bragg's law for the DFT cell and can differ from measured ones.

Unit cell a=5.936 b=7.366 c=9.415 alpha=90.00 beta=108.13 gamma=90.00
Space group C2/m (No. 12)
Unique sites:
Cu 0.169 0.000 0.335 x4
Hg 0.000 0.000 0.000 x2
Hg 0.167 0.500 0.335 x4
Pd 0.000 0.249 0.500 x4
Pd 0.000 0.500 0.000 x2
Pd 0.164 0.250 0.828 x8

Most intense lines, 2θ from 5° to 70°, by intensity:
d 2.318, 2θ = 38.9°, I 100; d 2.311, 2θ = 39.0°, I 99; d 2.108, 2θ = 42.9°, I 38; d 2.099, 2θ = 43.1°, I 37; d 3.654, 2θ = 24.4°, I 36; d 1.842, 2θ = 49.5°, I 25; d 1.387, 2θ = 67.5°, I 19; d 1.384, 2θ = 67.7°, I 19; d 1.491, 2θ = 62.3°, I 14; d 1.484, 2θ = 62.6°, I 12